Diffraction record for Li3V4FeO12. The powder XRD pattern is theoretical, not measured: it uses the GGA+U geometry in Alexandria and λ = 1.5418 Å (Cu Kα).

Structural model:
a = 5.642 Å, b = 6.893 Å, c = 6.895 Å
α = 76.56°, β = 72.88°, γ = 72.84°
Positions (direct):
Li: 0.000 0.000 0.000
Li: 0.001 0.640 0.359
Li: 0.501 0.196 0.804
V: 0.022 0.088 0.468
V: 0.448 0.750 0.705
V: 0.553 0.295 0.251
V: 0.980 0.532 0.911
Fe: 0.501 0.840 0.161
O: 0.078 0.932 0.695
O: 0.117 0.924 0.286
O: 0.198 0.271 0.409
O: 0.312 0.503 0.794
O: 0.420 0.913 0.885
O: 0.436 0.560 0.201
O: 0.565 0.798 0.440
O: 0.582 0.115 0.087
O: 0.690 0.205 0.498
O: 0.803 0.591 0.729
O: 0.884 0.713 0.076
O: 0.925 0.305 0.067

Largest 10 diffraction maxima, by angle, 2θ = 10–90°:
- 2θ = 13.6°, intensity 17.0, hkl 0 1 0
- 2θ = 17.7°, intensity 36.9, hkl 0 1 1
- 2θ = 19.0°, intensity 22.2, hkl 1 0 1
- 2θ = 27.0°, intensity 28.7, hkl 1 1 -1
- 2θ = 27.7°, intensity 13.1, hkl 1 2 1
- 2θ = 28.6°, intensity 100.0, hkl 1 2 0
- 2θ = 34.3°, intensity 21.7, hkl 2 0 0
- 2θ = 40.2°, intensity 16.8, hkl 2 0 -1
- 2θ = 53.2°, intensity 19.4, hkl 1 1 4
- 2θ = 59.9°, intensity 14.1, hkl -2 2 2